Structure and computed X-ray diffraction stick pattern of USe2O9 (the GGA-PBE geometry in the Materials Project; CuKα).

Crystal structure
Lattice parameters (Å, degrees): 8.7149 8.7149 5.7403 92.19 92.19 99.30
Fractional positions:
U 0.1926 0.8074 0.7500
U 0.8074 0.1926 0.2500
Se 0.2299 0.3859 0.4435
Se 0.3859 0.2299 0.9435
Se 0.6141 0.7701 0.0565
Se 0.7701 0.6141 0.5565
O 0.0207 0.9793 0.7500
O 0.0546 0.2756 0.4664
O 0.1053 0.7099 0.9941
O 0.2254 0.5606 0.5682
O 0.2756 0.0546 0.9664
O 0.2901 0.8947 0.5059
O 0.3026 0.3705 0.0827
O 0.3705 0.3026 0.5827
O 0.4394 0.7746 0.9318
O 0.5606 0.2254 0.0682
O 0.6295 0.6974 0.4173
O 0.6974 0.6295 0.9173
O 0.7099 0.1053 0.4941
O 0.7244 0.9454 0.0336
O 0.7746 0.4394 0.4318
O 0.8947 0.2901 0.0059
O 0.9454 0.7244 0.5336
O 0.9793 0.0207 0.2500

Top 10 peaks for 5 to 70 degrees two-theta, low angle first:
2θ 18.22, I 100
2θ 19.00, I 19
2θ 20.47, I 36
2θ 20.68, I 55
2θ 21.56, I 34
2θ 24.64, I 32
2θ 26.92, I 36
2θ 29.98, I 25
2θ 34.65, I 38
2θ 45.78, I 21